For Pr3Os, the GGA-PBE geometry in the Materials Project gives the computed powder X-ray diffraction pattern in this record (a wavelength of 1.5418 Å).
Kinematic intensities with the Lorentz-polarization factor, no thermal factor.

Peak list (6 most intense, 2θ = 10–90°, by angle)
2θ = 30.0°, I 34, hkl 2 2 0; 2θ = 30.6°, I 41, hkl 0 3 1; 2θ = 31.0°, I 64, hkl 1 1 2; 2θ = 32.9°, I 100, hkl 1 3 1; 2θ = 36.5°, I 34, hkl 2 3 0; 2θ = 37.4°, I 27, hkl 2 1 2

Atomic structure:
Cell lengths 7.5348, 9.7617, 6.5927 Å; angles 90.00, 90.00, 90.00 degrees
Space group Pnma (No. 62)
Asymmetric unit:
Pr  0.0410  0.2500  0.1415 [4 per cell]
Pr  0.1740  0.0668  0.6736 [8 per cell]
Os  0.1141  0.7500  0.4492 [4 per cell]

=====

For LiMg14V, the GGA-PBE geometry in the Materials Project gives the computed powder X-ray diffraction pattern in this record (a wavelength of 1.5418 Å).
Kinematic intensities with the Lorentz-polarization factor, no thermal factor.

Peak list (6 most intense, 2θ = 10–90°, by angle)
2θ = 32.6°, I 24, hkl 2 0 0; 2θ = 35.5°, I 25, hkl 0 0 4; 2θ = 37.3°, I 100, hkl 2 0 2; 2θ = 58.2°, I 17, hkl 2 2 0; 2θ = 65.0°, I 18, hkl 2 0 6; 2θ = 70.1°, I 19, hkl 2 2 4

Atomic structure:
Cell lengths 6.3437, 6.3437, 10.1014 Å; angles 90.00, 90.00, 120.00 degrees
Space group P-6m2 (No. 187)
Asymmetric unit:
Li  0.0000  0.0000  0.0000 [1 per cell]
Mg  0.0025  0.5012  0.0000 [3 per cell]
Mg  0.0018  0.5009  0.5000 [3 per cell]
Mg  0.1625  0.3251  0.2528 [6 per cell]
Mg  0.6667  0.3333  0.2497 [2 per cell]
V  0.0000  0.0000  0.5000 [1 per cell]

=====

For Mg14CuSi, the GGA-PBE geometry in the Materials Project gives the computed powder X-ray diffraction pattern in this record (a wavelength of 1.5418 Å).
Kinematic intensities with the Lorentz-polarization factor, no thermal factor.

Peak list (6 most intense, 2θ = 10–90°, by angle)
2θ = 33.3°, I 23, hkl 0 2 2; 2θ = 35.2°, I 39, hkl 4 0 0; 2θ = 37.8°, I 100, hkl 2 2 2; 2θ = 38.1°, I 46, hkl 2 0 4; 2θ = 65.0°, I 18, hkl 6 2 2; 2θ = 71.5°, I 17, hkl 4 2 6

Atomic structure:
Cell lengths 10.1879, 6.2247, 10.6687 Å; angles 90.00, 90.00, 90.00 degrees
Space group Amm2 (No. 38)
Asymmetric unit:
Mg  0.0000  0.0000  0.0000 [2 per cell]
Mg  0.0000  0.0000  0.4995 [2 per cell]
Mg  0.0000  0.2497  0.2525 [4 per cell]
Mg  0.2523  0.0000  0.1671 [4 per cell]
Mg  0.2540  0.0000  0.6665 [4 per cell]
Mg  0.2692  0.2490  0.4221 [8 per cell]
Mg  0.5000  0.2499  0.2443 [4 per cell]
Cu  0.5000  0.0000  0.5022 [2 per cell]
Si  0.5000  0.0000  0.0049 [2 per cell]

=====

For Mg2Cd, the GGA-PBE geometry in the Materials Project gives the computed powder X-ray diffraction pattern in this record (a wavelength of 1.5418 Å).
Kinematic intensities with the Lorentz-polarization factor, no thermal factor.

Peak list (6 most intense, 2θ = 10–90°, by angle)
2θ = 20.6°, I 83, hkl 0 2 1; 2θ = 22.0°, I 32, hkl 0 4 0; 2θ = 28.3°, I 27, hkl 1 1 0; 2θ = 35.3°, I 38, hkl 0 0 2; 2θ = 37.1°, I 100, hkl 1 3 1; 2θ = 37.8°, I 48, hkl 0 6 1

Atomic structure:
Cell lengths 3.2142, 16.1363, 5.0853 Å; angles 90.00, 90.00, 90.00 degrees
Space group Cmcm (No. 63)
Asymmetric unit:
Mg  0.0000  0.0554  0.2500 [4 per cell]
Mg  0.0000  0.2768  0.7500 [4 per cell]
Cd  0.0000  0.3882  0.2500 [4 per cell]

=====

For Ga2S3, the GGA-PBE geometry in the Materials Project gives the computed powder X-ray diffraction pattern in this record (a wavelength of 1.5418 Å).
Kinematic intensities with the Lorentz-polarization factor, no thermal factor.

Peak list (6 most intense, 2θ = 10–90°, by angle)
2θ = 13.9°, I 41, hkl 0 0 3; 2θ = 26.6°, I 100, hkl 1 0 0; 2θ = 28.0°, I 37, hkl 0 0 6; 2θ = 30.1°, I 79, hkl 0 1 3; 2θ = 46.9°, I 62, hkl 1 1 0; 2θ = 50.9°, I 66, hkl 1 0 9

Atomic structure:
Cell lengths 3.8766, 3.8766, 19.1184 Å; angles 90.00, 90.00, 120.00 degrees
Space group P3m1 (No. 156)
Asymmetric unit:
Ga  0.0000  0.0000  0.0000 [1 per cell]
Ga  0.0000  0.0000  0.3208 [1 per cell]
Ga  0.0000  0.0000  0.6476 [1 per cell]
Ga  0.3333  0.6667  0.8296 [1 per cell]
S  0.0000  0.0000  0.2040 [1 per cell]
S  0.0000  0.0000  0.5389 [1 per cell]
S  0.0000  0.0000  0.8698 [1 per cell]
S  0.3333  0.6667  0.0348 [1 per cell]
S  0.3333  0.6667  0.3712 [1 per cell]
S  0.3333  0.6667  0.7068 [1 per cell]

=====

For CeAl, the GGA-PBE geometry in the Materials Project gives the computed powder X-ray diffraction pattern in this record (a wavelength of 1.5418 Å).
Kinematic intensities with the Lorentz-polarization factor, no thermal factor.

Peak list (6 most intense, 2θ = 10–90°, by angle)
2θ = 24.2°, I 56, hkl 1 0 0; 2θ = 34.5°, I 100, hkl 1 1 0; 2θ = 42.6°, I 17, hkl 1 1 1; 2θ = 49.6°, I 18, hkl 2 0 0; 2θ = 56.0°, I 23, hkl 2 1 0; 2θ = 61.9°, I 37, hkl 2 1 1

Atomic structure:
Cell lengths 3.6734, 3.6734, 3.6734 Å; angles 90.00, 90.00, 90.00 degrees
Space group Pm-3m (No. 221)
Asymmetric unit:
Ce  0.0000  0.0000  0.0000 [1 per cell]
Al  0.5000  0.5000  0.5000 [1 per cell]

=====

For HfScOs2, the GGA-PBE geometry in the Materials Project gives the computed powder X-ray diffraction pattern in this record (a wavelength of 1.5418 Å).
Kinematic intensities with the Lorentz-polarization factor, no thermal factor.

Peak list (6 most intense, 2θ = 10–90°, by angle)
2θ = 23.8°, I 12, hkl 1 1 1; 2θ = 27.6°, I 8, hkl 2 0 0; 2θ = 39.4°, I 100, hkl 2 2 0; 2θ = 56.9°, I 17, hkl 4 0 0; 2θ = 71.4°, I 35, hkl 4 2 2; 2θ = 84.7°, I 11, hkl 4 4 0

Atomic structure:
Cell lengths 6.4729, 6.4729, 6.4729 Å; angles 90.00, 90.00, 90.00 degrees
Space group Fm-3m (No. 225)
Asymmetric unit:
Hf  0.0000  0.0000  0.0000 [4 per cell]
Sc  0.0000  0.0000  0.5000 [4 per cell]
Os  0.2500  0.2500  0.2500 [8 per cell]

=====

For Na2AgSbF6, the GGA-PBE geometry in the Materials Project gives the computed powder X-ray diffraction pattern in this record (a wavelength of 1.5418 Å).
Kinematic intensities with the Lorentz-polarization factor, no thermal factor.

Peak list (6 most intense, 2θ = 10–90°, by angle)
2θ = 19.4°, I 100, hkl 2 0 0; 2θ = 27.6°, I 97, hkl 2 2 0; 2θ = 39.4°, I 49, hkl 4 0 0; 2θ = 44.3°, I 44, hkl 4 2 0; 2θ = 48.8°, I 40, hkl 4 2 2; 2θ = 57.0°, I 30, hkl 4 4 0

Atomic structure:
Cell lengths 9.1426, 9.1426, 9.1426 Å; angles 90.00, 90.00, 90.00 degrees
Space group Fm-3m (No. 225)
Asymmetric unit:
Na  0.2500  0.2500  0.2500 [8 per cell]
Ag  0.0000  0.0000  0.0000 [4 per cell]
Sb  0.0000  0.0000  0.5000 [4 per cell]
F  0.0000  0.0000  0.2622 [24 per cell]

=====

For Ho3B7Mo, the GGA-PBE geometry in the Materials Project gives the computed powder X-ray diffraction pattern in this record (a wavelength of 1.5418 Å).
Kinematic intensities with the Lorentz-polarization factor, no thermal factor.

Peak list (6 most intense, 2θ = 10–90°, by angle)
2θ = 26.3°, I 89, hkl 1 1 0; 2θ = 29.3°, I 97, hkl 0 4 2; 2θ = 30.5°, I 74, hkl 0 2 3; 2θ = 33.8°, I 38, hkl 0 6 0; 2θ = 39.1°, I 100, hkl 1 1 3; 2θ = 39.6°, I 53, hkl 1 5 1

Atomic structure:
Cell lengths 3.4628, 15.9269, 9.4542 Å; angles 90.00, 90.00, 90.00 degrees
Space group Cmcm (No. 63)
Asymmetric unit:
Ho  0.0000  0.1066  0.0600 [8 per cell]
Ho  0.0000  0.2430  0.7500 [4 per cell]
B  0.0000  0.2724  0.0331 [8 per cell]
B  0.0000  0.3653  0.1470 [8 per cell]
B  0.0000  0.4555  0.7500 [4 per cell]
B  0.0000  0.4805  0.0918 [8 per cell]
Mo  0.0000  0.0532  0.7500 [4 per cell]